(1)
# NaAlTe2Se4
Computed X-ray powder pattern, Cu Kα, 1.54184 Å. Input: DFT lattice parameters and positions (PBE).
Intensities are scaled so that the largest is 100.

Top 12 peaks for 2θ from 15° to 90°, low angle first:
d (Å)  intensity
5.489  42
3.583  77
3.124  92
3.000  91
2.749  37
2.740  37
2.455  57
2.179  42
2.025  100
1.821  33
1.703  18
1.247  26

Crystal structure
a = 10.9580 Å, b = 10.9968 Å, c = 7.1659 Å
α = 90.00°, β = 90.00°, γ = 90.00°
Space group Fmm2 (No. 42)
Unique sites:
Na (0.0000, 0.0000, 0.0000) [4 per cell]
Al (0.0000, 0.0000, 0.5010) [4 per cell]
Te (0.2500, 0.2500, 0.2530) [8 per cell]
Se (0.0000, 0.1828, 0.3034) [8 per cell]
Se (0.1838, 0.0000, 0.6970) [8 per cell]

=====

(2)
# K15RbNa4
Computed X-ray powder pattern, Cu Kα, 1.54184 Å. Input: DFT lattice parameters and positions (PBE).
Intensities are scaled so that the largest is 100.

Top 12 peaks for 2θ from 15° to 90°, low angle first:
d (Å)  intensity
3.681  100
3.256  39
3.065  12
2.302  14
2.232  20
1.952  29
1.868  7
1.841  10
1.456  6
1.450  6
1.315  6
1.250  6

Crystal structure
a = 6.5113 Å, b = 6.5113 Å, c = 30.6469 Å
α = 90.00°, β = 90.00°, γ = 90.00°
Space group P4/mmm (No. 123)
Unique sites:
K (0.0000, 0.0000, 0.0000) [1 per cell]
K (0.0000, 0.0000, 0.2103) [2 per cell]
K (0.0000, 0.0000, 0.4035) [2 per cell]
K (0.0000, 0.5000, 0.1142) [4 per cell]
K (0.0000, 0.5000, 0.3069) [4 per cell]
K (0.0000, 0.5000, 0.5000) [2 per cell]
Rb (0.5000, 0.5000, 0.0000) [1 per cell]
Na (0.5000, 0.5000, 0.2099) [2 per cell]
Na (0.5000, 0.5000, 0.4031) [2 per cell]

=====

(3)
# LiSm12In6
Computed X-ray powder pattern, Cu Kα, 1.54184 Å. Input: DFT lattice parameters and positions (PBE).
Intensities are scaled so that the largest is 100.

Top 12 peaks for 2θ from 15° to 90°, low angle first:
d (Å)  intensity
3.701  19
3.335  32
3.309  29
2.791  67
2.733  91
2.706  100
2.611  67
2.575  85
2.509  23
1.817  22
1.615  30
1.511  26

Crystal structure
a = 11.4643 Å, b = 11.4643 Å, c = 14.5409 Å
α = 90.00°, β = 90.00°, γ = 120.00°
Space group R-3 (No. 148, hexagonal axes)
Unique sites:
Li (0.0000, 0.0000, 0.0000) [3 per cell]
Sm (0.0640, 0.8754, 0.8100) [18 per cell]
Sm (0.0656, 0.2203, 0.4100) [18 per cell]
In (0.0403, 0.5916, 0.7078) [18 per cell]

=====

(4)
# PaNiPd6
Computed X-ray powder pattern, Cu Kα, 1.54184 Å. Input: DFT lattice parameters and positions (PBE).
Intensities are scaled so that the largest is 100.

Top 12 peaks for 2θ from 15° to 90°, low angle first:
d (Å)  intensity
2.679  30
2.499  100
2.429  14
2.185  40
2.136  35
1.826  19
1.767  32
1.623  31
1.272  10
1.215  20
1.133  15
1.093  14

Crystal structure
a = 5.7131 Å, b = 10.0082 Å, c = 5.5612 Å
α = 90.00°, β = 119.11°, γ = 90.00°
Space group C2/m (No. 12)
Unique sites:
Pa (0.0000, 0.0000, 0.0000) [2 per cell]
Ni (0.0000, 0.0000, 0.5000) [2 per cell]
Pd (0.0060, 0.2284, 0.7470) [8 per cell]
Pd (0.0108, 0.5000, 0.2516) [4 per cell]

=====

(5)
# Pm2Co2Sn2C
Computed X-ray powder pattern, Cu Kα, 1.54184 Å. Input: DFT lattice parameters and positions (PBE).
Intensities are scaled so that the largest is 100.

Top 12 peaks for 2θ from 15° to 90°, low angle first:
d (Å)  intensity
2.900  53
2.821  49
2.787  64
2.700  60
2.688  100
2.597  47
2.440  91
2.372  44
2.151  59
1.682  30
1.593  26
1.582  41

Crystal structure
a = 11.0361 Å, b = 4.3018 Å, c = 7.2463 Å
α = 90.00°, β = 126.34°, γ = 90.00°
Space group C2/m (No. 12)
Unique sites:
Pm (0.0574, 0.0000, 0.3272) [4 per cell]
Co (0.1828, 0.5000, 0.7445) [4 per cell]
Sn (0.1702, 0.5000, 0.0978) [4 per cell]
C (0.0000, 0.5000, 0.5000) [2 per cell]

=====

(6)
# LaDy2Ho
Computed X-ray powder pattern, Cu Kα, 1.54184 Å. Input: DFT lattice parameters and positions (PBE).
Intensities are scaled so that the largest is 100.

Top 12 peaks for 2θ from 15° to 90°, low angle first:
d (Å)  intensity
2.934  100
2.548  17
2.537  34
1.798  24
1.794  12
1.535  14
1.530  29
1.467  12
1.166  12
1.164  6
1.139  6
1.135  11

Crystal structure
a = 5.0738 Å, b = 5.0738 Å, c = 5.0966 Å
α = 90.00°, β = 90.00°, γ = 90.00°
Space group P4/mmm (No. 123)
Unique sites:
La (0.0000, 0.0000, 0.0000) [1 per cell]
Dy (0.0000, 0.5000, 0.5000) [2 per cell]
Ho (0.5000, 0.5000, 0.0000) [1 per cell]